# Mg2TaWO6
Theoretical XRD peak list, Cu Kα (weighted mean of Kα1 and Kα2). Input: a structure optimized by DFT (GGA+U).
Kinematic intensities with the Lorentz-polarization factor, no thermal factor.

```
data_Mg2TaWO6
_space_group_name_H-M_alt 'P 1 21/m 1'
_space_group_IT_number 11
_cell_length_a 5.366
_cell_length_b 7.755
_cell_length_c 5.461
_cell_angle_alpha 90.00
_cell_angle_beta 91.55
_cell_angle_gamma 90.00
loop_
_space_group_symop_operation_xyz
'x,y,z'
'-x,-y,-z'
'-x,y+1/2,-z'
'x,-y+1/2,z'
loop_
_atom_site_label
_atom_site_type_symbol
_atom_site_fract_x
_atom_site_fract_y
_atom_site_fract_z
Mg1 Mg 0.004 0.250 0.045
Mg2 Mg 0.493 0.250 0.533
Ta1 Ta 0.500 0.000 0.000
W1 W 0.000 0.000 0.500
O1 O 0.139 0.250 0.402
O2 O 0.189 0.569 0.164
O3 O 0.345 0.570 0.685
O4 O 0.372 0.250 0.926
```

Main lines, by angle (15° ≤ 2θ ≤ 90°):
22.9 deg, I = 100, hkl 0 2 0
23.6 deg, I = 48, hkl 1 0 1
32.7 deg, I = 61, hkl 1 2 -1
32.8 deg, I = 30, hkl 0 0 2
33.1 deg, I = 58, hkl 1 2 1
46.9 deg, I = 28, hkl 0 4 0

# LiNiCO4
Theoretical XRD peak list, Cu Kα (weighted mean of Kα1 and Kα2). Input: a structure optimized by DFT (GGA+U).
Kinematic intensities with the Lorentz-polarization factor, no thermal factor.

```
data_LiNiCO4
_space_group_name_H-M_alt 'P 1 21/c 1'
_space_group_IT_number 14
_cell_length_a 3.107
_cell_length_b 9.355
_cell_length_c 9.419
_cell_angle_alpha 90.00
_cell_angle_beta 106.41
_cell_angle_gamma 90.00
loop_
_space_group_symop_operation_xyz
'x,y,z'
'-x,-y,-z'
'-x,y+1/2,-z+1/2'
'x,-y+1/2,z+1/2'
loop_
_atom_site_label
_atom_site_type_symbol
_atom_site_fract_x
_atom_site_fract_y
_atom_site_fract_z
Li1 Li 0.099 0.095 0.323
Ni1 Ni 0.285 0.619 0.557
C1 C 0.438 0.167 0.638
O1 O 0.125 0.504 0.389
O2 O 0.346 0.239 0.513
O3 O 0.354 0.036 0.633
O4 O 0.398 0.736 0.738
```

Main lines, by angle (15° ≤ 2θ ≤ 90°):
19.7 deg, I = 53, hkl 0 0 2
21.4 deg, I = 54, hkl 0 2 1
31.2 deg, I = 20, hkl 0 1 3
34.7 deg, I = 100, hkl 1 2 -1
35.4 deg, I = 48, hkl 0 2 3
42.6 deg, I = 25, hkl 1 3 -2